# 1
Structure and theoretical powder diffractogram of LiMoRh2 (a structure optimized by DFT (GGA-PBE); λ = 1.5418 Å (Cu Kα)).

Atomic structure:
a b c (Å): 4.0817 4.0817 6.6933
angles (deg): 90.00 90.00 90.00
Fractional positions:
Li 0.0000 0.0000 0.0000
Li 0.5000 0.5000 0.5000
Mo 0.0000 0.0000 0.5000
Mo 0.5000 0.5000 0.0000
Rh 0.0000 0.5000 0.2500
Rh 0.0000 0.5000 0.7500
Rh 0.5000 0.0000 0.2500
Rh 0.5000 0.0000 0.7500

Main lines, by intensity (10° ≤ 2θ ≤ 90°):
2theta	Rel. int.
41.31	1000
44.39	405
25.56	321
79.61	283
73.14	178
30.98	132
64.58	129
89.73	109

---

# 2
Structure and theoretical powder diffractogram of Tm2PaSb3 (a structure optimized by DFT (GGA-PBE); λ = 1.5418 Å (Cu Kα)).

Atomic structure:
a b c (Å): 6.1535 13.0242 8.6922
angles (deg): 90.00 90.01 90.00
Fractional positions:
Tm 0.2492 0.2487 0.3762
Tm 0.2492 0.2513 0.8762
Tm 0.2503 0.5839 0.3765
Tm 0.2503 0.9161 0.8765
Tm 0.7497 0.0839 0.1235
Tm 0.7497 0.4161 0.6235
Tm 0.7508 0.7487 0.1238
Tm 0.7508 0.7513 0.6238
Pa 0.2505 0.5815 0.8762
Pa 0.2505 0.9185 0.3762
Pa 0.7495 0.0815 0.6238
Pa 0.7495 0.4185 0.1238
Sb 0.2495 0.0850 0.6300
Sb 0.2495 0.4150 0.1300
Sb 0.2497 0.0837 0.1238
Sb 0.2497 0.4163 0.6238
Sb 0.2508 0.7502 0.1258
Sb 0.2508 0.7498 0.6258
Sb 0.7492 0.2502 0.3742
Sb 0.7492 0.2498 0.8742
Sb 0.7503 0.5837 0.3762
Sb 0.7503 0.9163 0.8762
Sb 0.7505 0.5850 0.8700
Sb 0.7505 0.9150 0.3700

Main lines, by intensity (10° ≤ 2θ ≤ 90°):
2theta	Rel. int.
29.06	1000
41.56	764
68.22	293
51.50	273
75.80	174
75.88	87
60.26	85
25.09	85

---

# 3
Structure and theoretical powder diffractogram of MgCd3Ag (a structure optimized by DFT (GGA-PBE); λ = 1.5418 Å (Cu Kα)).

Atomic structure:
a b c (Å): 10.2459 4.8201 8.6842
angles (deg): 90.00 90.00 90.00
Fractional positions:
Mg 0.2442 0.2500 0.0079
Mg 0.2558 0.7500 0.5079
Mg 0.7442 0.2500 0.4921
Mg 0.7558 0.7500 0.9921
Cd 0.0344 0.2500 0.3843
Cd 0.0387 0.7500 0.1433
Cd 0.1741 0.7500 0.8444
Cd 0.3259 0.2500 0.3444
Cd 0.4613 0.2500 0.6433
Cd 0.4656 0.7500 0.8843
Cd 0.5344 0.2500 0.1157
Cd 0.5387 0.7500 0.3567
Cd 0.6741 0.7500 0.6556
Cd 0.8259 0.2500 0.1556
Cd 0.9613 0.2500 0.8567
Cd 0.9656 0.7500 0.6157
Ag 0.1833 0.2500 0.6615
Ag 0.3167 0.7500 0.1615
Ag 0.6833 0.2500 0.8385
Ag 0.8167 0.7500 0.3385

Main lines, by intensity (10° ≤ 2θ ≤ 90°):
2theta	Rel. int.
38.38	1000
37.29	992
36.57	407
22.82	403
53.24	264
29.02	255
68.00	177
41.60	162

---

# 4
Structure and theoretical powder diffractogram of LiUTl2I6 (a structure optimized by DFT (GGA-PBE); λ = 1.5418 Å (Cu Kα)).

Atomic structure:
a b c (Å): 8.0830 8.6282 14.1190
angles (deg): 90.00 124.16 90.00
Fractional positions:
Li 0.0000 0.0000 0.0000
Li 0.0000 0.5000 0.5000
U 0.5000 0.0000 0.5000
U 0.5000 0.5000 0.0000
Tl 0.2100 0.0914 0.7436
Tl 0.2100 0.4086 0.2436
Tl 0.7900 0.5914 0.7564
Tl 0.7900 0.9086 0.2564
I 0.1304 0.1963 0.4459
I 0.1304 0.3037 0.9459
I 0.2560 0.6921 0.4456
I 0.2560 0.8079 0.9456
I 0.3581 0.0231 0.2437
I 0.3581 0.4769 0.7437
I 0.6419 0.5231 0.2563
I 0.6419 0.9769 0.7563
I 0.7440 0.1921 0.0544
I 0.7440 0.3079 0.5544
I 0.8696 0.6963 0.0541
I 0.8696 0.8037 0.5541

Main lines, by intensity (10° ≤ 2θ ≤ 90°):
2theta	Rel. int.
25.42	1000
25.53	736
30.31	676
30.61	675
33.96	593
38.42	555
24.56	523
12.75	508

---

# 5
Structure and theoretical powder diffractogram of NaPmDy4Se8 (a structure optimized by DFT (GGA-PBE); λ = 1.5418 Å (Cu Kα)).

Atomic structure:
a b c (Å): 8.5356 8.5356 8.5356
angles (deg): 59.45 59.45 59.45
Fractional positions:
Na 0.0000 0.0000 0.0000
Pm 0.3686 0.3686 0.3686
Dy 0.3684 0.3684 0.8878
Dy 0.3684 0.8878 0.3684
Dy 0.7474 0.7474 0.7474
Dy 0.8878 0.3684 0.3684
Se 0.1292 0.1292 0.5948
Se 0.1292 0.5948 0.1292
Se 0.1338 0.1338 0.1338
Se 0.1451 0.6190 0.6190
Se 0.5948 0.1292 0.1292
Se 0.6150 0.6150 0.6150
Se 0.6190 0.1451 0.6190
Se 0.6190 0.6190 0.1451

Main lines, by intensity (10° ≤ 2θ ≤ 90°):
2theta	Rel. int.
29.73	1000
24.61	811
42.36	661
42.73	660
38.99	447
12.79	348
24.43	257
61.74	205

---

# 6
Structure and theoretical powder diffractogram of Y2UAl2Ru5 (a structure optimized by DFT (GGA-PBE); λ = 1.5418 Å (Cu Kα)).

Atomic structure:
a b c (Å): 10.1520 10.1520 3.3898
angles (deg): 90.00 90.00 90.00
Fractional positions:
Y 0.1695 0.3305 0.0000
Y 0.3305 0.8305 0.0000
Y 0.6695 0.1695 0.0000
Y 0.8305 0.6695 0.0000
U 0.0000 0.0000 0.0000
U 0.5000 0.5000 0.0000
Al 0.1271 0.6271 0.0000
Al 0.3729 0.1271 0.0000
Al 0.6271 0.8729 0.0000
Al 0.8729 0.3729 0.0000
Ru 0.0000 0.5000 0.5000
Ru 0.0681 0.8012 0.5000
Ru 0.1988 0.0681 0.5000
Ru 0.3012 0.5681 0.5000
Ru 0.4319 0.3012 0.5000
Ru 0.5000 0.0000 0.5000
Ru 0.5681 0.6988 0.5000
Ru 0.6988 0.4319 0.5000
Ru 0.8012 0.9319 0.5000
Ru 0.9319 0.1988 0.5000

Main lines, by intensity (10° ≤ 2θ ≤ 90°):
2theta	Rel. int.
38.63	1000
36.48	566
12.33	317
39.71	260
17.47	210
54.14	179
32.98	169
71.34	167

---

# 7
Structure and theoretical powder diffractogram of Ca2PmPt2 (a structure optimized by DFT (GGA-PBE); λ = 1.5418 Å (Cu Kα)).

Atomic structure:
a b c (Å): 4.9252 5.0482 10.5488
angles (deg): 90.00 90.00 90.00
Fractional positions:
Ca 0.2500 0.2500 0.0020
Ca 0.2500 0.2500 0.3294
Ca 0.7500 0.7500 0.6706
Ca 0.7500 0.7500 0.9980
Pm 0.2500 0.2500 0.6596
Pm 0.7500 0.7500 0.3404
Pt 0.2500 0.7500 0.1686
Pt 0.2500 0.7500 0.5088
Pt 0.7500 0.2500 0.4912
Pt 0.7500 0.2500 0.8314

Main lines, by intensity (10° ≤ 2θ ≤ 90°):
2theta	Rel. int.
36.08	1000
19.49	363
24.73	283
35.57	264
36.49	246
64.21	185
51.87	179
65.40	175

---

# 8
Structure and theoretical powder diffractogram of Li3Cd2F7 (a structure optimized by DFT (GGA-PBE); λ = 1.5418 Å (Cu Kα)).

Atomic structure:
a b c (Å): 10.3546 10.3546 5.4481
angles (deg): 90.00 90.00 31.01
Fractional positions:
Li 0.0865 0.4850 0.4788
Li 0.2271 0.7729 0.5000
Li 0.4850 0.0865 0.9788
Li 0.5150 0.9135 0.4788
Li 0.7729 0.2271 0.0000
Li 0.9135 0.5150 0.9788
Cd 0.1383 0.6507 0.9902
Cd 0.3493 0.8617 0.9902
Cd 0.6507 0.1383 0.4902
Cd 0.8617 0.3493 0.4902
F 0.0374 0.2549 0.1370
F 0.0981 0.9019 0.8441
F 0.1661 0.4131 0.1206
F 0.2549 0.0374 0.6370
F 0.3313 0.5300 0.3389
F 0.4131 0.1661 0.6206
F 0.4700 0.6687 0.3389
F 0.5300 0.3313 0.8389
F 0.5869 0.8339 0.1206
F 0.6687 0.4700 0.8389
F 0.7451 0.9626 0.1370
F 0.8339 0.5869 0.6206
F 0.9019 0.0981 0.3441
F 0.9626 0.7451 0.6370

Main lines, by intensity (10° ≤ 2θ ≤ 90°):
2theta	Rel. int.
23.34	1000
32.16	696
17.78	642
47.20	315
58.25	224
57.57	223
37.61	220
37.15	208

---

Copy entry 7 word for word.
Structure and theoretical powder diffractogram of Ca2PmPt2 (a structure optimized by DFT (GGA-PBE); λ = 1.5418 Å (Cu Kα)).

Atomic structure:
a b c (Å): 4.9252 5.0482 10.5488
angles (deg): 90.00 90.00 90.00
Fractional positions:
Ca 0.2500 0.2500 0.0020
Ca 0.2500 0.2500 0.3294
Ca 0.7500 0.7500 0.6706
Ca 0.7500 0.7500 0.9980
Pm 0.2500 0.2500 0.6596
Pm 0.7500 0.7500 0.3404
Pt 0.2500 0.7500 0.1686
Pt 0.2500 0.7500 0.5088
Pt 0.7500 0.2500 0.4912
Pt 0.7500 0.2500 0.8314

Main lines, by intensity (10° ≤ 2θ ≤ 90°):
2theta	Rel. int.
36.08	1000
19.49	363
24.73	283
35.57	264
36.49	246
64.21	185
51.87	179
65.40	175

---

Please write out number 7 again, unchanged.
Structure and theoretical powder diffractogram of Ca2PmPt2 (a structure optimized by DFT (GGA-PBE); λ = 1.5418 Å (Cu Kα)).

Atomic structure:
a b c (Å): 4.9252 5.0482 10.5488
angles (deg): 90.00 90.00 90.00
Fractional positions:
Ca 0.2500 0.2500 0.0020
Ca 0.2500 0.2500 0.3294
Ca 0.7500 0.7500 0.6706
Ca 0.7500 0.7500 0.9980
Pm 0.2500 0.2500 0.6596
Pm 0.7500 0.7500 0.3404
Pt 0.2500 0.7500 0.1686
Pt 0.2500 0.7500 0.5088
Pt 0.7500 0.2500 0.4912
Pt 0.7500 0.2500 0.8314

Main lines, by intensity (10° ≤ 2θ ≤ 90°):
2theta	Rel. int.
36.08	1000
19.49	363
24.73	283
35.57	264
36.49	246
64.21	185
51.87	179
65.40	175